Starting from the GGA+U geometry in Alexandria, the X-ray powder pattern of Tl2CoTeO4 was computed for Cu Ka.
Lines closer than 0.1° are merged.

Cell and atoms:
a b c (Å): 5.618 5.686 5.934
angles (deg): 111.08 118.18 96.96
Fractional positions:
Tl 0.000 0.000 0.000
Tl 0.244 0.739 0.498
Co 0.698 0.191 0.492
Te 0.495 0.490 0.991
O 0.093 0.406 0.857
O 0.406 0.211 0.593
O 0.556 0.229 0.131
O 0.613 0.801 0.384

Principal peaks in the range 5 to 70 degrees two-theta, in order of rising 2θ:
2θ (°)  d [Å]  I/Imax  (hkl)
19.1  4.644  30  1 0 0
27.2  3.276  100  -1 1 1
30.2  2.959  75  1 -1 1
30.7  2.911  65  1 1 0
30.9  2.898  65  1 1 -2
31.8  2.815  73  0 2 -1
32.2  2.782  79  2 0 -1
39.2  2.299  45  0 0 2
43.0  2.105  29  2 -2 0
53.2  1.720  32  0 2 -3